FeCo8Ni6: simulated powder XRD pattern (copper Kα), based on DFT lattice parameters and positions (PBE).

Atomic structure:
```
data_FeCo8Ni6
_space_group_name_H-M_alt 'P -3'
_space_group_IT_number 147
_cell_length_a 6.5577
_cell_length_b 6.5577
_cell_length_c 4.7795
_cell_angle_alpha 90.00
_cell_angle_beta 90.00
_cell_angle_gamma 120.00
loop_
_space_group_symop_operation_xyz
'x,y,z'
'-x,-y,-z'
'-y,x-y,z'
'y,-x+y,-z'
'-x+y,-x,z'
'x-y,x,-z'
loop_
_atom_site_label
_atom_site_type_symbol
_atom_site_fract_x
_atom_site_fract_y
_atom_site_fract_z
Fe1 Fe 0.0000 0.0000 0.0000
Co1 Co 0.0570 0.3818 0.1084
Co2 Co 0.3333 0.6667 0.7362
Ni1 Ni 0.0205 0.6811 0.3945
```

Largest 6 diffraction maxima, sorted by position, 10 to 90 degrees two-theta:
h k l  two_theta  I/Imax
1 1 0  27.20  18
0 2 1  36.82  28
3 -1 1  46.37  35
1 1 2  47.05  100
3 0 0  48.06  80
4 -2 2  69.54  18